Simulated powder diffraction line list of Cs3Sb2Cl9 for Cu Kα (λ = 1.5418 Å), from a DFT-relaxed cell (GGA-PBE, Alexandria).
No peak broadening, texture or thermal motion is included.

Peak list (10 most intense, 2θ from 5° to 70°, sorted by position)
| hkl | two_theta | I_rel |
| --- | --- | --- |
| 1 0 0 | 13.0 | 20 |
| 1 1 0 | 22.7 | 76 |
| 0 1 2 | 22.9 | 74 |
| 0 2 1 | 27.9 | 40 |
| 2 0 2 | 32.4 | 100 |
| 1 2 2 | 39.9 | 37 |
| 2 2 0 | 46.3 | 33 |
| 0 2 4 | 46.7 | 35 |
| 2 1 4 | 52.5 | 18 |
| 2 3 2 | 62.7 | 20 |

Structural model:
```
data_Cs3Sb2Cl9
_space_group_name_H-M_alt 'P 3 2 1'
_space_group_IT_number 150
_space_group_name_Hall 'P 3 2"'
_cell_length_a 7.8493
_cell_length_b 7.8493
_cell_length_c 9.4932
_cell_angle_alpha 90.00
_cell_angle_beta 90.00
_cell_angle_gamma 120.00
loop_
_atom_site_label
_atom_site_type_symbol
_atom_site_fract_x
_atom_site_fract_y
_atom_site_fract_z
Cs1 Cs 0.0000 0.0000 0.0000
Cs2 Cs 0.3333 0.6667 0.6665
Sb1 Sb 0.3333 0.6667 0.1795
Cl1 Cl 0.0000 0.5248 0.0000
Cl2 Cl 0.1647 0.3588 0.3284
```